# 1
For LaCo5, a DFT-relaxed cell (PBE, the Materials Project) gives the simulated X-ray diffraction stick pattern in this record (λ = 1.5418 Å (Cu Kα)).
Peak positions follow from Bragg's law for the DFT cell and can differ from measured ones.

The 10 most intense peaks (10 to 80 degrees two-theta), by angle:
- 30.50°, I 69.6
- 35.63°, I 31.1
- 41.20°, I 39.9
- 41.47°, I 16.3
- 42.36°, I 48.1
- 42.56°, I 100.0
- 45.95°, I 38.0
- 63.40°, I 20.5
- 68.48°, I 20.0
- 75.44°, I 20.3

Structure:
```
LaCo5
1.0
2.5355 -4.3547 0.0000
2.5355 4.3547 0.0000
0.0000 0.0000 7.9006
La Co
2 10
direct
0.0000 0.0000 0.0000
0.0000 0.0000 0.5000
0.0000 0.5000 0.2603
0.0000 0.5000 0.7397
0.3055 0.6292 0.0000
0.3708 0.6945 0.5000
0.5000 0.0000 0.2397
0.5000 0.0000 0.7603
0.5000 0.5000 0.2500
0.5000 0.5000 0.7500
0.6292 0.3055 0.5000
0.6945 0.3708 0.0000
```

=====

# 2
For GaS, a DFT-relaxed cell (PBE, the Materials Project) gives the simulated X-ray diffraction stick pattern in this record (λ = 1.5418 Å (Cu Kα)).
Peak positions follow from Bragg's law for the DFT cell and can differ from measured ones.

The 10 most intense peaks (10 to 80 degrees two-theta), by angle:
- 10.15°, I 100.0
- 20.39°, I 30.0
- 28.42°, I 45.0
- 28.88°, I 42.3
- 30.25°, I 12.1
- 30.79°, I 12.9
- 32.40°, I 31.9
- 46.55°, I 61.7
- 50.32°, I 34.1
- 70.96°, I 16.6

Structure:
```
GaS
1.0
3.6269 0.0000 0.0000
-1.8135 3.1410 0.0000
0.0000 0.0000 17.4253
Ga S
4 4
direct
0.3333 0.6667 0.1791
0.3333 0.6667 0.3209
0.6667 0.3333 0.6791
0.6667 0.3333 0.8209
0.3333 0.6667 0.6168
0.3333 0.6667 0.8832
0.6667 0.3333 0.1168
0.6667 0.3333 0.3832
```

=====

Q: Number 1 is which compound?
A: LaCo5